[1]
Computed powder diffractogram
Compound: Ni7P6O24
Radiation: CuKα
Structure: a GGA+U-relaxed structure

Unit cell a=6.366 b=7.948 c=9.374 alpha=104.91 beta=108.11 gamma=101.16
Sites, in units of the cell vectors:
1 Ni 0.000 0.000 0.000
2 Ni 0.045 0.714 0.519
3 Ni 0.270 0.799 0.282
4 Ni 0.385 0.457 0.110
5 Ni 0.615 0.543 0.890
6 Ni 0.730 0.201 0.718
7 Ni 0.955 0.286 0.481
8 P 0.094 0.596 0.834
9 P 0.228 0.142 0.771
10 P 0.403 0.233 0.374
11 P 0.597 0.767 0.626
12 P 0.772 0.858 0.229
13 P 0.906 0.404 0.166
14 O 0.017 0.187 0.666
15 O 0.070 0.554 0.657
16 O 0.115 0.792 0.920
17 O 0.123 0.532 0.163
18 O 0.209 0.941 0.707
19 O 0.225 0.187 0.942
20 O 0.260 0.285 0.473
21 O 0.276 0.039 0.243
22 O 0.310 0.542 0.918
23 O 0.368 0.767 0.501
24 O 0.456 0.257 0.771
25 O 0.458 0.367 0.292
26 O 0.542 0.633 0.708
27 O 0.544 0.743 0.229
28 O 0.632 0.233 0.499
29 O 0.690 0.458 0.082
30 O 0.724 0.961 0.757
31 O 0.740 0.715 0.527
32 O 0.775 0.813 0.058
33 O 0.791 0.059 0.293
34 O 0.877 0.468 0.837
35 O 0.885 0.208 0.080
36 O 0.930 0.446 0.343
37 O 0.983 0.813 0.334

Main lines, by intensity (2θ from 15° to 90°):
d 3.005, rel. 100
d 2.966, rel. 65
d 2.688, rel. 31
d 4.327, rel. 26
d 3.120, rel. 22
d 4.761, rel. 20
d 2.607, rel. 18
d 1.591, rel. 17
d 3.150, rel. 16
d 1.573, rel. 15

[2]
Computed powder diffractogram
Compound: Ni2P5O15
Radiation: CuKα
Structure: a GGA+U-relaxed structure

Unit cell a=5.341 b=8.637 c=13.525 alpha=90.00 beta=109.29 gamma=90.00
Sites, in units of the cell vectors:
1 Ni 0.108 0.219 0.454
2 Ni 0.108 0.781 0.954
3 Ni 0.892 0.219 0.046
4 Ni 0.892 0.781 0.546
5 P 0.000 0.444 0.250
6 P 0.000 0.556 0.750
7 P 0.298 0.322 0.910
8 P 0.298 0.678 0.410
9 P 0.460 0.012 0.860
10 P 0.460 0.988 0.360
11 P 0.540 0.012 0.640
12 P 0.540 0.988 0.140
13 P 0.702 0.322 0.590
14 P 0.702 0.678 0.090
15 O 0.090 0.355 0.172
16 O 0.090 0.645 0.672
17 O 0.092 0.325 0.962
18 O 0.092 0.675 0.462
19 O 0.237 0.441 0.812
20 O 0.237 0.559 0.312
21 O 0.268 0.033 0.558
22 O 0.268 0.967 0.058
23 O 0.273 0.158 0.851
24 O 0.273 0.842 0.351
25 O 0.307 0.132 0.365
26 O 0.307 0.868 0.865
27 O 0.419 0.354 0.526
28 O 0.419 0.646 0.026
29 O 0.500 0.011 0.750
30 O 0.500 0.989 0.250
31 O 0.581 0.354 0.974
32 O 0.581 0.646 0.474
33 O 0.693 0.132 0.135
34 O 0.693 0.868 0.635
35 O 0.727 0.158 0.649
36 O 0.727 0.842 0.149
37 O 0.732 0.033 0.942
38 O 0.732 0.967 0.442
39 O 0.763 0.441 0.688
40 O 0.763 0.559 0.188
41 O 0.908 0.325 0.538
42 O 0.908 0.675 0.038
43 O 0.910 0.355 0.328
44 O 0.910 0.645 0.828

Main lines, by intensity (2θ from 15° to 90°):
d 3.577, rel. 100
d 3.599, rel. 86
d 3.441, rel. 67
d 3.027, rel. 66
d 4.354, rel. 64
d 3.280, rel. 54
d 4.802, rel. 46
d 4.535, rel. 41
d 4.197, rel. 39
d 2.581, rel. 36